(1)
Starting from a crystal structure in Alexandria, relaxed with GGA-PBE, the powder diffractogram of PrTm8Sn6 was computed for λ = 1.5418 Å (Cu Kα).

Crystal structure
```
data_PrTm8Sn6
_symmetry_space_group_name_H-M 'R -3'
_symmetry_Int_Tables_number 148
_symmetry_space_group_name_Hall '-R 3'
_cell_length_a 8.9721
_cell_length_b 8.9721
_cell_length_c 19.3379
_cell_angle_alpha 90.00
_cell_angle_beta 90.00
_cell_angle_gamma 120.00
loop_
_atom_site_label
_atom_site_type_symbol
_atom_site_fract_x
_atom_site_fract_y
_atom_site_fract_z
_atom_site_occupancy
Pr1 Pr 0.0000 0.0000 0.0000 1
Tm1 Tm 0.0000 0.0000 0.3330 1
Tm2 Tm 0.0009 0.6714 0.1066 1
Sn1 Sn 0.9996 0.3409 0.0681 1
```

Largest 8 diffraction maxima, in order of rising 2θ, 2θ from 10° to 90°:
24.2°, rel. 39.3; 34.3°, rel. 94.9; 34.6°, rel. 100.0; 49.5°, rel. 33.8; 61.1°, rel. 18.1; 61.8°, rel. 34.8; 62.1°, rel. 18.6; 82.6°, rel. 15.7

(2)
Starting from a crystal structure in Alexandria, relaxed with GGA-PBE, the powder diffractogram of Er8Sb4CSe3 was computed for λ = 1.5418 Å (Cu Kα).

Crystal structure
```
data_Er8Sb4CSe3
_symmetry_space_group_name_H-M 'R -3 m'
_symmetry_Int_Tables_number 166
_symmetry_space_group_name_Hall '-R 3 2"'
_cell_length_a 8.2616
_cell_length_b 8.2616
_cell_length_c 20.4280
_cell_angle_alpha 90.00
_cell_angle_beta 90.00
_cell_angle_gamma 120.00
loop_
_atom_site_label
_atom_site_type_symbol
_atom_site_fract_x
_atom_site_fract_y
_atom_site_fract_z
_atom_site_occupancy
Er1 Er 0.0000 0.0000 0.2465 1
Er2 Er 0.0296 0.5148 0.2397 1
Sb1 Sb 0.0000 0.0000 0.0000 1
Sb2 Sb 0.0000 0.5000 0.0000 1
C1 C 0.0000 0.0000 0.5000 1
Se1 Se 0.0000 0.5000 0.5000 1
```

Largest 8 diffraction maxima, in order of rising 2θ, 2θ from 10° to 90°:
26.4°, rel. 10.6; 30.5°, rel. 100.0; 43.5°, rel. 34.0; 43.8°, rel. 35.7; 54.3°, rel. 17.7; 63.5°, rel. 10.1; 71.9°, rel. 12.2; 72.3°, rel. 13.8

(3)
Starting from a crystal structure in Alexandria, relaxed with GGA-PBE, the powder diffractogram of Pr4Y3Sc2 was computed for λ = 1.5418 Å (Cu Kα).

Crystal structure
```
data_Pr4Y3Sc2
_symmetry_space_group_name_H-M 'C 1 2/m 1'
_symmetry_Int_Tables_number 12
_cell_length_a 15.207
_cell_length_b 5.063
_cell_length_c 7.922
_cell_angle_alpha 90.00
_cell_angle_beta 108.45
_cell_angle_gamma 90.00
loop_
_symmetry_equiv_pos_as_xyz
'x,y,z'
'-x,-y,-z'
'-x,y,-z'
'x,-y,z'
'x+1/2,y+1/2,z'
'-x+1/2,-y+1/2,-z'
'-x+1/2,y+1/2,-z'
'x+1/2,-y+1/2,z'
loop_
_atom_site_label
_atom_site_type_symbol
_atom_site_fract_x
_atom_site_fract_y
_atom_site_fract_z
_atom_site_occupancy
Pr1 Pr 0.053 0.000 0.326 1
Pr2 Pr 0.223 0.500 0.323 1
Y1 Y 0.000 0.500 0.000 1
Y2 Y 0.114 0.500 0.675 1
Sc1 Sc 0.170 0.000 0.999 1
```

Largest 8 diffraction maxima, in order of rising 2θ, 2θ from 10° to 90°:
25.6°, rel. 8.1; 30.7°, rel. 100.0; 35.4°, rel. 34.0; 35.9°, rel. 16.6; 51.0°, rel. 11.9; 51.3°, rel. 17.0; 60.6°, rel. 6.9; 60.7°, rel. 20.5